# KCaLaF6
Calculated powder diffractogram, Cu Ka. Input: a crystal structure in Alexandria, relaxed with GGA-PBE.
Kinematic intensities with the Lorentz-polarization factor, no thermal factor.

Top 12 peaks for 15 to 90 degrees two-theta, by angle:
- 2θ 24.03, I 100
- 2θ 24.37, I 18
- 2θ 24.95, I 32
- 2θ 25.97, I 55
- 2θ 31.85, I 34
- 2θ 36.56, I 21
- 2θ 39.18, I 18
- 2θ 42.12, I 22
- 2θ 43.79, I 29
- 2θ 44.66, I 17
- 2θ 49.20, I 21
- 2θ 54.30, I 17

Cell and atoms:
Unit cell a=8.5899 b=8.5899 c=8.5899 alpha=122.24 beta=118.38 gamma=89.49
Fractional positions:
K (0.2588, 0.0088, 0.2500)
K (0.7412, 0.9912, 0.7500)
Ca (0.0000, 0.0000, 0.5000)
Ca (0.0000, 0.5000, 0.0000)
La (0.0000, 0.5000, 0.5000)
La (0.5000, 0.5000, 0.0000)
F (0.0341, 0.3989, 0.2104)
F (0.0341, 0.8237, 0.6352)
F (0.0554, 0.8054, 0.2500)
F (0.3115, 0.1763, 0.7104)
F (0.3115, 0.6011, 0.1352)
F (0.3218, 0.5718, 0.7500)
F (0.6782, 0.4282, 0.2500)
F (0.6885, 0.3989, 0.8648)
F (0.6885, 0.8237, 0.2896)
F (0.9446, 0.1946, 0.7500)
F (0.9659, 0.1763, 0.3648)
F (0.9659, 0.6011, 0.7896)